1.
# Re3Os
Calculated powder diffraction line list, a wavelength of 1.5418 Å. Input: a DFT-relaxed cell (GGA-PBE, the Materials Project).
Intensities are scaled so that the largest is 100.

The 10 most intense peaks (15° ≤ 2θ ≤ 90°), by intensity:
(2 0 1), 42.7°, d = 2.118 Å, I = 100.0
(0 0 2), 40.7°, d = 2.219 Å, I = 25.5
(2 0 0), 37.3°, d = 2.410 Å, I = 24.2
(2 2 2), 81.7°, d = 1.179 Å, I = 20.8
(2 0 3), 75.4°, d = 1.261 Å, I = 19.1
(2 2 0), 67.3°, d = 1.391 Å, I = 17.5
(4 0 1), 83.1°, d = 1.163 Å, I = 15.0
(2 0 2), 56.4°, d = 1.632 Å, I = 14.9
(0 0 4), 88.0°, d = 1.110 Å, I = 3.0
(4 0 0), 79.6°, d = 1.205 Å, I = 2.8

Structure:
```
data_Re3Os
_cell_length_a 5.5649
_cell_length_b 5.5649
_cell_length_c 4.4381
_cell_angle_alpha 90.00
_cell_angle_beta 90.00
_cell_angle_gamma 120.00
_symmetry_space_group_name_H-M 'P 63/m m c'
_symmetry_Int_Tables_number 194
_symmetry_space_group_name_Hall '-P 6c 2c'
loop_
_atom_site_label
_atom_site_type_symbol
_atom_site_fract_x
_atom_site_fract_y
_atom_site_fract_z
Re1 Re 0.1656 0.3311 0.2500
Os1 Os 0.3333 0.6667 0.7500
```

---

2.
# ReOs3
Calculated powder diffraction line list, a wavelength of 1.5418 Å. Input: a DFT-relaxed cell (GGA-PBE, the Materials Project).
Intensities are scaled so that the largest is 100.

The 10 most intense peaks (15° ≤ 2θ ≤ 90°), by intensity:
(2 0 1), 43.0°, d = 2.102 Å, I = 100.0
(0 0 2), 41.3°, d = 2.185 Å, I = 24.9
(2 0 0), 37.5°, d = 2.398 Å, I = 24.4
(2 2 2), 82.5°, d = 1.169 Å, I = 20.8
(2 0 3), 76.5°, d = 1.245 Å, I = 18.8
(2 2 0), 67.7°, d = 1.384 Å, I = 17.7
(4 0 1), 83.6°, d = 1.156 Å, I = 15.2
(2 0 2), 57.0°, d = 1.615 Å, I = 14.7
(0 0 4), 89.8°, d = 1.092 Å, I = 2.9
(4 0 0), 80.0°, d = 1.199 Å, I = 2.8

Structure:
```
data_ReOs3
_cell_length_a 5.5371
_cell_length_b 5.5371
_cell_length_c 4.3694
_cell_angle_alpha 90.00
_cell_angle_beta 90.00
_cell_angle_gamma 120.00
_symmetry_space_group_name_H-M 'P 63/m m c'
_symmetry_Int_Tables_number 194
_symmetry_space_group_name_Hall '-P 6c 2c'
loop_
_atom_site_label
_atom_site_type_symbol
_atom_site_fract_x
_atom_site_fract_y
_atom_site_fract_z
Re1 Re 0.3333 0.6667 0.2500
Os1 Os 0.1673 0.3346 0.7500
```

---

3.
# Ti2ReOs
Calculated powder diffraction line list, a wavelength of 1.5418 Å. Input: a DFT-relaxed cell (GGA-PBE, the Materials Project).
Intensities are scaled so that the largest is 100.

The 10 most intense peaks (15° ≤ 2θ ≤ 90°), by intensity:
(1 1 0), 41.1°, d = 2.197 Å, I = 100.0
(1 0 0), 28.8°, d = 3.103 Å, I = 29.8
(2 1 2), 74.9°, d = 1.268 Å, I = 22.4
(0 0 2), 28.6°, d = 3.117 Å, I = 15.1
(1 1 2), 50.9°, d = 1.794 Å, I = 13.3
(2 1 0), 67.5°, d = 1.388 Å, I = 11.8
(1 1 4), 74.7°, d = 1.271 Å, I = 11.3
(2 0 0), 59.6°, d = 1.552 Å, I = 11.0
(2 0 4), 89.0°, d = 1.100 Å, I = 7.4
(1 0 4), 67.2°, d = 1.393 Å, I = 6.0

Structure:
```
data_Ti2ReOs
_cell_length_a 3.103
_cell_length_b 3.103
_cell_length_c 6.234
_cell_angle_alpha 90.00
_cell_angle_beta 90.00
_cell_angle_gamma 90.00
_symmetry_space_group_name_H-M 'P 4/m m m'
_symmetry_Int_Tables_number 123
_symmetry_space_group_name_Hall '-P 4 2'
loop_
_atom_site_label
_atom_site_type_symbol
_atom_site_fract_x
_atom_site_fract_y
_atom_site_fract_z
Ti1 Ti 0.000 0.000 0.249
Re1 Re 0.500 0.500 0.500
Os1 Os 0.500 0.500 0.000
```

---

4.
# Ti2ReOs
Calculated powder diffraction line list, a wavelength of 1.5418 Å. Input: a DFT-relaxed cell (GGA-PBE, the Materials Project).
Intensities are scaled so that the largest is 100.

The 7 most intense peaks (15° ≤ 2θ ≤ 90°), by intensity:
(2 2 0), 41.1°, d = 2.195 Å, I = 100.0
(2 0 0), 28.8°, d = 3.105 Å, I = 44.9
(4 2 2), 74.9°, d = 1.267 Å, I = 33.6
(4 2 0), 67.5°, d = 1.388 Å, I = 17.8
(4 0 0), 59.6°, d = 1.552 Å, I = 16.6
(2 2 2), 50.9°, d = 1.792 Å, I = 13.3
(4 4 0), 89.2°, d = 1.098 Å, I = 11.1

Structure:
```
data_Ti2ReOs
_cell_length_a 6.209
_cell_length_b 6.209
_cell_length_c 6.209
_cell_angle_alpha 90.00
_cell_angle_beta 90.00
_cell_angle_gamma 90.00
_symmetry_space_group_name_H-M 'F m -3 m'
_symmetry_Int_Tables_number 225
_symmetry_space_group_name_Hall '-F 4 2 3'
loop_
_atom_site_label
_atom_site_type_symbol
_atom_site_fract_x
_atom_site_fract_y
_atom_site_fract_z
Ti1 Ti 0.250 0.250 0.250
Re1 Re 0.000 0.000 0.000
Os1 Os 0.000 0.000 0.500
```

---

5.
# OsRh3
Calculated powder diffraction line list, a wavelength of 1.5418 Å. Input: a DFT-relaxed cell (GGA-PBE, the Materials Project).
Intensities are scaled so that the largest is 100.

The 10 most intense peaks (15° ≤ 2θ ≤ 90°), by intensity:
(2 0 1), 43.3°, d = 2.090 Å, I = 100.0
(0 0 2), 41.2°, d = 2.192 Å, I = 25.6
(2 0 0), 37.8°, d = 2.378 Å, I = 24.4
(2 2 2), 83.0°, d = 1.164 Å, I = 20.0
(2 0 3), 76.5°, d = 1.245 Å, I = 18.4
(2 2 0), 68.3°, d = 1.373 Å, I = 16.9
(2 0 2), 57.1°, d = 1.612 Å, I = 14.6
(4 0 1), 84.4°, d = 1.148 Å, I = 14.4
(1 0 1), 27.7°, d = 3.224 Å, I = 7.7
(1 0 0), 18.7°, d = 4.756 Å, I = 4.1

Structure:
```
data_OsRh3
_cell_length_a 5.4920
_cell_length_b 5.4920
_cell_length_c 4.3843
_cell_angle_alpha 90.00
_cell_angle_beta 90.00
_cell_angle_gamma 120.00
_symmetry_space_group_name_H-M 'P 63/m m c'
_symmetry_Int_Tables_number 194
_symmetry_space_group_name_Hall '-P 6c 2c'
loop_
_atom_site_label
_atom_site_type_symbol
_atom_site_fract_x
_atom_site_fract_y
_atom_site_fract_z
Os1 Os 0.3333 0.6667 0.2500
Rh1 Rh 0.1683 0.3367 0.7500
```

---

6.
# Sc2OsRh
Calculated powder diffraction line list, a wavelength of 1.5418 Å. Input: a DFT-relaxed cell (GGA-PBE, the Materials Project).
Intensities are scaled so that the largest is 100.

The 10 most intense peaks (15° ≤ 2θ ≤ 90°), by intensity:
(2 2 0), 39.5°, d = 2.282 Å, I = 100.0
(2 0 0), 27.6°, d = 3.227 Å, I = 35.9
(4 2 2), 71.6°, d = 1.317 Å, I = 33.3
(4 0 0), 57.1°, d = 1.614 Å, I = 16.7
(4 2 0), 64.6°, d = 1.443 Å, I = 14.4
(2 2 2), 48.9°, d = 1.863 Å, I = 10.7
(4 4 0), 85.0°, d = 1.141 Å, I = 10.6
(1 1 1), 23.9°, d = 3.726 Å, I = 10.4
(3 1 1), 46.7°, d = 1.946 Å, I = 5.8
(3 3 1), 62.8°, d = 1.481 Å, I = 2.5

Structure:
```
data_Sc2OsRh
_cell_length_a 6.454
_cell_length_b 6.454
_cell_length_c 6.454
_cell_angle_alpha 90.00
_cell_angle_beta 90.00
_cell_angle_gamma 90.00
_symmetry_space_group_name_H-M 'F m -3 m'
_symmetry_Int_Tables_number 225
_symmetry_space_group_name_Hall '-F 4 2 3'
loop_
_atom_site_label
_atom_site_type_symbol
_atom_site_fract_x
_atom_site_fract_y
_atom_site_fract_z
Sc1 Sc 0.250 0.250 0.250
Os1 Os 0.000 0.000 0.000
Rh1 Rh 0.000 0.000 0.500
```

---

7.
# Ti2OsRh
Calculated powder diffraction line list, a wavelength of 1.5418 Å. Input: a DFT-relaxed cell (GGA-PBE, the Materials Project).
Intensities are scaled so that the largest is 100.

The 10 most intense peaks (15° ≤ 2θ ≤ 90°), by intensity:
(2 2 0), 41.1°, d = 2.196 Å, I = 100.0
(2 0 0), 28.7°, d = 3.105 Å, I = 33.6
(4 2 2), 74.9°, d = 1.268 Å, I = 32.8
(4 0 0), 59.5°, d = 1.553 Å, I = 16.4
(4 2 0), 67.4°, d = 1.389 Å, I = 13.2
(4 4 0), 89.2°, d = 1.098 Å, I = 10.8
(1 1 1), 24.8°, d = 3.586 Å, I = 10.4
(2 2 2), 50.9°, d = 1.793 Å, I = 9.9
(3 1 1), 48.6°, d = 1.873 Å, I = 5.7
(3 3 1), 65.5°, d = 1.425 Å, I = 2.4

Structure:
```
data_Ti2OsRh
_cell_length_a 6.211
_cell_length_b 6.211
_cell_length_c 6.211
_cell_angle_alpha 90.00
_cell_angle_beta 90.00
_cell_angle_gamma 90.00
_symmetry_space_group_name_H-M 'F m -3 m'
_symmetry_Int_Tables_number 225
_symmetry_space_group_name_Hall '-F 4 2 3'
loop_
_atom_site_label
_atom_site_type_symbol
_atom_site_fract_x
_atom_site_fract_y
_atom_site_fract_z
Ti1 Ti 0.250 0.250 0.250
Os1 Os 0.000 0.000 0.000
Rh1 Rh 0.000 0.000 0.500
```

---

8.
# OsRu
Calculated powder diffraction line list, a wavelength of 1.5418 Å. Input: a DFT-relaxed cell (GGA-PBE, the Materials Project).
Intensities are scaled so that the largest is 100.

The 10 most intense peaks (15° ≤ 2θ ≤ 90°), by intensity:
(1 0 1), 43.4°, d = 2.084 Å, I = 100.0
(1 0 0), 37.9°, d = 2.376 Å, I = 29.7
(0 0 2), 41.6°, d = 2.170 Å, I = 24.4
(1 1 2), 83.3°, d = 1.160 Å, I = 19.8
(1 0 3), 77.2°, d = 1.236 Å, I = 18.5
(1 0 2), 57.5°, d = 1.602 Å, I = 17.9
(1 1 0), 68.4°, d = 1.372 Å, I = 16.8
(2 0 1), 84.6°, d = 1.146 Å, I = 14.8
(0 0 1), 20.5°, d = 4.340 Å, I = 11.6
(2 0 0), 80.9°, d = 1.188 Å, I = 3.4

Structure:
```
data_OsRu
_cell_length_a 2.7439
_cell_length_b 2.7439
_cell_length_c 4.3396
_cell_angle_alpha 90.00
_cell_angle_beta 90.00
_cell_angle_gamma 120.00
_symmetry_space_group_name_H-M 'P -6 m 2'
_symmetry_Int_Tables_number 187
_symmetry_space_group_name_Hall 'P -6 2'
loop_
_atom_site_label
_atom_site_type_symbol
_atom_site_fract_x
_atom_site_fract_y
_atom_site_fract_z
Os1 Os 0.0000 0.0000 0.0000
Ru1 Ru 0.6667 0.3333 0.5000
```

---

9.
# OsRu3
Calculated powder diffraction line list, a wavelength of 1.5418 Å. Input: a DFT-relaxed cell (GGA-PBE, the Materials Project).
Intensities are scaled so that the largest is 100.

The 10 most intense peaks (15° ≤ 2θ ≤ 90°), by intensity:
(2 0 1), 43.6°, d = 2.077 Å, I = 100.0
(0 0 2), 41.8°, d = 2.161 Å, I = 25.0
(2 0 0), 38.0°, d = 2.369 Å, I = 24.6
(2 2 2), 83.7°, d = 1.156 Å, I = 19.9
(2 0 3), 77.5°, d = 1.231 Å, I = 18.1
(2 2 0), 68.6°, d = 1.368 Å, I = 17.0
(4 0 1), 84.9°, d = 1.142 Å, I = 14.5
(2 0 2), 57.7°, d = 1.597 Å, I = 14.4
(1 0 1), 27.9°, d = 3.193 Å, I = 8.7
(1 0 0), 18.7°, d = 4.738 Å, I = 4.1

Structure:
```
data_OsRu3
_cell_length_a 5.4708
_cell_length_b 5.4708
_cell_length_c 4.3227
_cell_angle_alpha 90.00
_cell_angle_beta 90.00
_cell_angle_gamma 120.00
_symmetry_space_group_name_H-M 'P 63/m m c'
_symmetry_Int_Tables_number 194
_symmetry_space_group_name_Hall '-P 6c 2c'
loop_
_atom_site_label
_atom_site_type_symbol
_atom_site_fract_x
_atom_site_fract_y
_atom_site_fract_z
Os1 Os 0.3333 0.6667 0.2500
Ru1 Ru 0.1674 0.3349 0.7500
```

---

10.
# Si2OsRu
Calculated powder diffraction line list, a wavelength of 1.5418 Å. Input: a DFT-relaxed cell (GGA-PBE, the Materials Project).
Intensities are scaled so that the largest is 100.

The 10 most intense peaks (15° ≤ 2θ ≤ 90°), by intensity:
(2 2 0), 43.4°, d = 2.087 Å, I = 100.0
(2 0 0), 30.3°, d = 2.951 Å, I = 59.5
(4 2 2), 79.6°, d = 1.205 Å, I = 33.9
(4 2 0), 71.5°, d = 1.320 Å, I = 20.8
(4 0 0), 63.0°, d = 1.476 Å, I = 16.4
(2 2 2), 53.8°, d = 1.704 Å, I = 16.3
(1 1 1), 26.2°, d = 3.408 Å, I = 14.2
(3 1 1), 51.3°, d = 1.780 Å, I = 7.5
(3 3 1), 69.4°, d = 1.354 Å, I = 3.2
(5 1 1), 85.5°, d = 1.136 Å, I = 2.6

Structure:
```
data_Si2OsRu
_cell_length_a 5.902
_cell_length_b 5.902
_cell_length_c 5.902
_cell_angle_alpha 90.00
_cell_angle_beta 90.00
_cell_angle_gamma 90.00
_symmetry_space_group_name_H-M 'F m -3 m'
_symmetry_Int_Tables_number 225
_symmetry_space_group_name_Hall '-F 4 2 3'
loop_
_atom_site_label
_atom_site_type_symbol
_atom_site_fract_x
_atom_site_fract_y
_atom_site_fract_z
Si1 Si 0.250 0.250 0.250
Os1 Os 0.000 0.000 0.000
Ru1 Ru 0.000 0.000 0.500
```

---

11.
# SnOs2Ru
Calculated powder diffraction line list, a wavelength of 1.5418 Å. Input: a DFT-relaxed cell (GGA-PBE, the Materials Project).
Intensities are scaled so that the largest is 100.

The 8 most intense peaks (15° ≤ 2θ ≤ 90°), by intensity:
(2 2 0), 40.2°, d = 2.242 Å, I = 100.0
(4 2 2), 73.1°, d = 1.294 Å, I = 35.2
(4 0 0), 58.2°, d = 1.585 Å, I = 17.1
(4 4 0), 86.9°, d = 1.121 Å, I = 11.6
(1 1 1), 24.3°, d = 3.660 Å, I = 7.4
(3 1 1), 47.6°, d = 1.912 Å, I = 3.9
(3 3 1), 64.0°, d = 1.454 Å, I = 1.7
(5 1 1), 78.4°, d = 1.220 Å, I = 1.2

Structure:
```
data_SnOs2Ru
_cell_length_a 6.340
_cell_length_b 6.340
_cell_length_c 6.340
_cell_angle_alpha 90.00
_cell_angle_beta 90.00
_cell_angle_gamma 90.00
_symmetry_space_group_name_H-M 'F -4 3 m'
_symmetry_Int_Tables_number 216
_symmetry_space_group_name_Hall 'F -4 2 3'
loop_
_atom_site_label
_atom_site_type_symbol
_atom_site_fract_x
_atom_site_fract_y
_atom_site_fract_z
Sn1 Sn 0.000 0.000 0.000
Os1 Os 0.000 0.000 0.500
Os2 Os 0.250 0.250 0.250
Ru1 Ru 0.250 0.250 0.750
```

---

12.
# Th3Os2Ru4
Calculated powder diffraction line list, a wavelength of 1.5418 Å. Input: a DFT-relaxed cell (GGA-PBE, the Materials Project).
Intensities are scaled so that the largest is 100.

The 10 most intense peaks (15° ≤ 2θ ≤ 90°), by intensity:
(0 2 -1), 38.2°, d = 2.356 Å, I = 100.0
(2 0 -1), 38.8°, d = 2.322 Å, I = 91.5
(2 1 -3), 39.5°, d = 2.281 Å, I = 85.4
(1 2 3), 38.6°, d = 2.331 Å, I = 64.0
(0 1 4), 32.5°, d = 2.752 Å, I = 56.3
(1 -1 0), 32.2°, d = 2.777 Å, I = 46.8
(2 1 3), 39.1°, d = 2.306 Å, I = 45.5
(2 2 7), 62.6°, d = 1.483 Å, I = 45.4
(1 0 4), 32.8°, d = 2.733 Å, I = 45.0
(1 0 -5), 38.9°, d = 2.317 Å, I = 37.6

Structure:
```
data_Th3Os2Ru4
_cell_length_a 5.353
_cell_length_b 5.434
_cell_length_c 13.343
_cell_angle_alpha 89.11
_cell_angle_beta 89.25
_cell_angle_gamma 61.98
_symmetry_space_group_name_H-M 'P -1'
_symmetry_Int_Tables_number 2
_symmetry_space_group_name_Hall '-P 1'
loop_
_atom_site_label
_atom_site_type_symbol
_atom_site_fract_x
_atom_site_fract_y
_atom_site_fract_z
Th1 Th 0.000 0.001 0.126
Th2 Th 0.333 0.332 0.541
Th3 Th 0.334 0.334 0.791
Os1 Os 0.000 0.500 0.000
Os2 Os 0.166 0.167 0.334
Os3 Os 0.500 0.500 0.000
Ru1 Ru 0.000 0.000 0.500
Ru2 Ru 0.167 0.667 0.333
Ru3 Ru 0.332 0.334 0.167
Ru4 Ru 0.334 0.833 0.667
Ru5 Ru 0.500 0.000 0.000
```